[1]
The following is a computed X-ray powder pattern of Sc2Mn2GaFe5. It was derived from a crystal structure in Alexandria, relaxed with GGA-PBE, using Cu Kα (weighted mean of Kα1 and Kα2).
Kinematic intensities with the Lorentz-polarization factor, no thermal factor.

Cell and atoms:
```
Sc2Mn2GaFe5
1.0
8.7738 0.0000 0.0000
0.0000 8.7738 0.0000
0.0000 0.0000 3.5861
Sc Mn Ga Fe
4 4 2 10
Direct
0.1827 0.3173 0.0000 Sc
0.3173 0.8173 0.0000 Sc
0.6827 0.1827 0.0000 Sc
0.8173 0.6827 0.0000 Sc
0.1121 0.6121 0.0000 Mn
0.3879 0.1121 0.0000 Mn
0.6121 0.8879 0.0000 Mn
0.8879 0.3879 0.0000 Mn
0.0000 0.0000 0.0000 Ga
0.5000 0.5000 0.0000 Ga
0.0000 0.5000 0.5000 Fe
0.0601 0.7949 0.5000 Fe
0.2051 0.0601 0.5000 Fe
0.2949 0.5601 0.5000 Fe
0.4399 0.2949 0.5000 Fe
0.5000 0.0000 0.5000 Fe
0.5601 0.7051 0.5000 Fe
0.7051 0.4399 0.5000 Fe
0.7949 0.9399 0.5000 Fe
0.9399 0.2051 0.5000 Fe
```

Peak list (10 most intense, 2θ = 10–90°, sorted by position)
d_spacing, I/Imax
4.387, 118
3.924, 132
2.346, 315
2.194, 1000
2.128, 372
2.014, 480
1.793, 292
1.371, 162
1.173, 134
1.098, 132


[2]
The following is a computed X-ray powder pattern of UMnGaFe. It was derived from a crystal structure in Alexandria, relaxed with GGA-PBE, using Cu Kα (weighted mean of Kα1 and Kα2).
Kinematic intensities with the Lorentz-polarization factor, no thermal factor.

Cell and atoms:
```
UMnGaFe
1.0
0.0000 3.0941 3.0941
3.0941 0.0000 3.0941
3.0941 3.0941 0.0000
U Mn Ga Fe
1 1 1 1
Direct
0.0000 0.0000 0.0000 U
0.2500 0.2500 0.2500 Mn
0.5000 0.5000 0.5000 Ga
0.7500 0.7500 0.7500 Fe
```

Peak list (10 most intense, 2θ = 10–90°, sorted by position)
d_spacing, I/Imax
3.573, 331
3.094, 252
2.188, 1000
1.866, 176
1.786, 76
1.547, 165
1.420, 77
1.384, 107
1.263, 338
1.094, 113


[3]
The following is a computed X-ray powder pattern of GaFe19N5. It was derived from a crystal structure in Alexandria, relaxed with GGA-PBE, using Cu Kα (weighted mean of Kα1 and Kα2).
Kinematic intensities with the Lorentz-polarization factor, no thermal factor.

Cell and atoms:
```
GaFe19N5
1.0
8.4695 0.0000 0.0000
0.0000 8.4695 0.0000
0.0000 0.0000 3.7986
Ga Fe N
1 19 5
Direct
0.0000 0.0000 0.0000 Ga
0.0000 0.5000 0.5000 Fe
0.0996 0.2983 0.0000 Fe
0.0998 0.7994 0.5000 Fe
0.2005 0.5950 0.0000 Fe
0.2006 0.0998 0.5000 Fe
0.2983 0.9004 0.0000 Fe
0.3022 0.3956 0.5000 Fe
0.3956 0.6978 0.5000 Fe
0.4050 0.2005 0.0000 Fe
0.5000 0.0000 0.5000 Fe
0.5000 0.5000 0.0000 Fe
0.5950 0.7995 0.0000 Fe
0.6044 0.3022 0.5000 Fe
0.6978 0.6044 0.5000 Fe
0.7017 0.0996 0.0000 Fe
0.7994 0.9002 0.5000 Fe
0.7995 0.4050 0.0000 Fe
0.9002 0.2006 0.5000 Fe
0.9004 0.7017 0.0000 Fe
0.1004 0.3003 0.5000 N
0.3003 0.8996 0.5000 N
0.5000 0.5000 0.5000 N
0.6997 0.1004 0.5000 N
0.8996 0.6997 0.5000 N
```

Peak list (10 most intense, 2θ = 10–90°, sorted by position)
d_spacing, I/Imax
3.791, 11
2.681, 16
2.189, 1000
1.899, 194
1.894, 383
1.341, 219
1.339, 108
1.145, 107
1.142, 211
1.094, 110


[4]
The following is a computed X-ray powder pattern of GaFeN. It was derived from a crystal structure in Alexandria, relaxed with GGA-PBE, using Cu Kα (weighted mean of Kα1 and Kα2).
Kinematic intensities with the Lorentz-polarization factor, no thermal factor.

Cell and atoms:
```
GaFeN
1.0
-1.3426 1.3426 10.4052
1.3426 -1.3426 10.4052
1.3426 1.3426 -10.4052
Ga Fe N
2 2 2
Direct
0.1811 0.1811 0.0000 Ga
0.8189 0.8189 0.0000 Ga
0.4443 0.4443 0.0000 Fe
0.5557 0.5557 0.0000 Fe
0.0802 0.0802 0.0000 N
0.9198 0.9198 0.0000 N
```

Peak list (10 most intense, 2θ = 10–90°, sorted by position)
d_spacing, I/Imax
2.601, 506
2.504, 1000
2.256, 276
1.899, 449
1.547, 341
1.534, 360
1.343, 130
1.193, 147
1.183, 168
1.154, 65


[5]
The following is a computed X-ray powder pattern of GaFeN2. It was derived from a crystal structure in Alexandria, relaxed with GGA-PBE, using Cu Kα (weighted mean of Kα1 and Kα2).
Kinematic intensities with the Lorentz-polarization factor, no thermal factor.

Cell and atoms:
```
GaFeN2
1.0
-2.2195 2.2195 4.2791
2.2195 -2.2195 4.2791
2.2195 2.2195 -4.2791
Ga Fe N
2 2 4
Direct
0.0000 0.0000 0.0000 Ga
0.7500 0.2500 0.5000 Ga
0.2500 0.7500 0.5000 Fe
0.5000 0.5000 0.0000 Fe
0.1435 0.6250 0.0185 N
0.3750 0.3935 0.5185 N
0.6065 0.1250 0.9815 N
0.8750 0.8565 0.4815 N
```

Peak list (10 most intense, 2θ = 10–90°, sorted by position)
d_spacing, I/Imax
3.941, 10
2.531, 1000
2.220, 213
2.140, 95
1.569, 138
1.540, 259
1.334, 235
1.299, 107
1.265, 70
1.110, 41


[6]
The following is a computed X-ray powder pattern of GaFe2RhN. It was derived from a crystal structure in Alexandria, relaxed with GGA-PBE, using Cu Kα (weighted mean of Kα1 and Kα2).
Kinematic intensities with the Lorentz-polarization factor, no thermal factor.

Cell and atoms:
```
GaFe2RhN
1.0
3.7604 0.0000 0.0000
0.0000 3.7604 0.0000
0.0000 0.0000 4.2070
Ga Fe Rh N
1 2 1 1
Direct
0.0000 0.0000 0.0000 Ga
0.0000 0.5000 0.5000 Fe
0.5000 0.0000 0.5000 Fe
0.5000 0.5000 0.0000 Rh
0.5000 0.5000 0.5000 N
```

Peak list (10 most intense, 2θ = 10–90°, sorted by position)
d_spacing, I/Imax
3.760, 58
2.659, 56
2.248, 1000
2.103, 242
1.880, 336
1.402, 243
1.330, 100
1.240, 137
1.144, 213
1.124, 120